Computed powder X-ray diffraction pattern
Compound: BaAl2O6
Radiation: a wavelength of 1.5418 Å
Structure: a GGA-PBE-relaxed structure
No peak broadening, texture or thermal motion is included.

Structural model:
```
BaAl2O6
1.0
5.673 0.000 0.000
0.000 9.643 0.000
0.000 0.000 11.097
Ba Al O
4 8 24
direct
0.142 0.041 0.000
0.358 0.541 0.500
0.642 0.459 0.000
0.858 0.959 0.500
0.118 0.343 0.815
0.161 0.677 0.887
0.339 0.177 0.387
0.382 0.843 0.315
0.618 0.157 0.815
0.661 0.823 0.887
0.839 0.323 0.387
0.882 0.657 0.315
0.053 0.208 0.436
0.093 0.503 0.893
0.129 0.753 0.365
0.130 0.407 0.666
0.167 0.857 0.695
0.174 0.721 0.715
0.326 0.221 0.215
0.333 0.357 0.195
0.370 0.907 0.166
0.371 0.253 0.865
0.407 0.003 0.393
0.447 0.708 0.936
0.553 0.292 0.436
0.593 0.997 0.893
0.629 0.747 0.365
0.630 0.093 0.666
0.667 0.643 0.695
0.674 0.779 0.715
0.826 0.279 0.215
0.833 0.143 0.195
0.870 0.593 0.166
0.871 0.247 0.865
0.907 0.497 0.393
0.947 0.792 0.936
```

Main lines, by angle (10 to 80 degrees two-theta):
15.97°, I = 71.3
19.84°, I = 100.0
24.26°, I = 76.1
24.46°, I = 76.4
29.15°, I = 37.2
30.30°, I = 65.2
32.58°, I = 47.6
33.03°, I = 38.9
37.27°, I = 33.8
37.68°, I = 44.9

***

Computed powder X-ray diffraction pattern
Compound: BaAl2O4
Radiation: a wavelength of 1.5418 Å
Structure: a GGA-PBE-relaxed structure
No peak broadening, texture or thermal motion is included.

Structural model:
```
BaAl2O4
1.0
4.555 -2.644 0.000
4.555 2.644 0.000
-0.102 0.000 8.970
Ba Al O
2 4 8
direct
0.000 0.000 0.250
0.000 0.000 0.750
0.338 0.327 0.554
0.340 0.325 0.946
0.673 0.662 0.446
0.675 0.660 0.054
0.001 0.354 0.991
0.001 0.641 0.513
0.358 0.297 0.750
0.359 0.999 0.487
0.362 0.638 0.000
0.644 0.356 0.500
0.646 0.999 0.009
0.703 0.642 0.250
```

Main lines, by angle (10 to 80 degrees two-theta):
19.43°, I = 83.3
27.77°, I = 100.0
27.94°, I = 62.5
28.08°, I = 29.4
33.90°, I = 27.2
34.05°, I = 53.7
39.54°, I = 43.7
40.21°, I = 22.6
44.88°, I = 22.1
57.04°, I = 32.5

***

Computed powder X-ray diffraction pattern
Compound: BaAl4O7
Radiation: a wavelength of 1.5418 Å
Structure: a GGA-PBE-relaxed structure
No peak broadening, texture or thermal motion is included.

Structural model:
```
BaAl4O7
1.0
5.631 0.000 0.000
0.000 12.948 0.000
0.000 0.000 9.282
Ba Al O
4 16 28
direct
0.126 0.250 0.049
0.374 0.750 0.549
0.626 0.250 0.451
0.874 0.750 0.951
0.129 0.127 0.684
0.129 0.373 0.684
0.178 0.074 0.336
0.178 0.426 0.336
0.322 0.574 0.836
0.322 0.926 0.836
0.371 0.627 0.184
0.371 0.873 0.184
0.629 0.127 0.816
0.629 0.373 0.816
0.678 0.074 0.164
0.678 0.426 0.164
0.822 0.574 0.664
0.822 0.926 0.664
0.871 0.627 0.316
0.871 0.873 0.316
0.061 0.250 0.751
0.093 0.624 0.726
0.093 0.876 0.726
0.163 0.564 0.309
0.163 0.936 0.309
0.241 0.116 0.511
0.241 0.384 0.511
0.259 0.616 0.011
0.259 0.884 0.011
0.337 0.064 0.809
0.337 0.436 0.809
0.407 0.124 0.226
0.407 0.376 0.226
0.439 0.750 0.251
0.561 0.250 0.749
0.593 0.624 0.774
0.593 0.876 0.774
0.663 0.564 0.191
0.663 0.936 0.191
0.741 0.116 0.989
0.741 0.384 0.989
0.759 0.616 0.489
0.759 0.884 0.489
0.837 0.064 0.691
0.837 0.436 0.691
0.907 0.124 0.274
0.907 0.376 0.274
0.939 0.750 0.249
```

Main lines, by angle (10 to 80 degrees two-theta):
13.68°, I = 48.4
23.02°, I = 80.2
23.59°, I = 52.6
27.76°, I = 100.0
28.48°, I = 41.1
32.54°, I = 55.6
33.04°, I = 31.2
33.36°, I = 39.5
33.76°, I = 40.5
45.74°, I = 31.8

***

Computed powder X-ray diffraction pattern
Compound: BaAl2O6
Radiation: a wavelength of 1.5418 Å
Structure: a GGA-PBE-relaxed structure
No peak broadening, texture or thermal motion is included.

Structural model:
```
BaAl2O6
1.0
0.000 8.905 3.638
4.235 0.000 3.638
4.235 8.905 0.000
Ba Al O
2 4 12
direct
0.000 0.000 0.000
0.250 0.250 0.250
0.381 0.475 0.769
0.475 0.381 0.375
0.481 0.875 0.869
0.875 0.481 0.775
0.142 0.553 0.830
0.163 0.337 0.582
0.332 0.668 0.913
0.337 0.163 0.918
0.420 0.774 0.108
0.543 0.666 0.378
0.553 0.142 0.476
0.666 0.543 0.413
0.668 0.332 0.087
0.774 0.420 0.697
0.837 0.872 0.584
0.872 0.837 0.707
```

Main lines, by angle (10 to 80 degrees two-theta):
16.82°, I = 87.2
19.94°, I = 67.8
21.99°, I = 58.6
23.26°, I = 100.0
26.46°, I = 90.0
29.85°, I = 55.7
32.44°, I = 39.9
37.37°, I = 50.0
38.37°, I = 89.9
38.97°, I = 75.7

***

Computed powder X-ray diffraction pattern
Compound: BaAl2O6
Radiation: a wavelength of 1.5418 Å
Structure: a GGA-PBE-relaxed structure
No peak broadening, texture or thermal motion is included.

Structural model:
```
BaAl2O6
1.0
4.432 -3.475 0.000
4.432 3.475 0.000
-4.421 0.000 9.801
Ba Al O
2 4 12
direct
0.000 0.000 0.000
0.748 0.252 0.500
0.121 0.774 0.662
0.209 0.361 0.838
0.226 0.879 0.338
0.639 0.791 0.162
0.063 0.098 0.735
0.076 0.613 0.765
0.173 0.434 0.006
0.315 0.087 0.507
0.369 0.594 0.392
0.387 0.924 0.235
0.406 0.631 0.608
0.550 0.278 0.895
0.566 0.827 0.994
0.722 0.450 0.105
0.902 0.937 0.265
0.913 0.685 0.493
```

Main lines, by angle (10 to 80 degrees two-theta):
16.83°, I = 100.0
18.10°, I = 58.9
21.19°, I = 75.0
22.01°, I = 92.7
27.23°, I = 66.2
28.00°, I = 68.4
33.27°, I = 52.4
35.77°, I = 41.7
36.03°, I = 60.4
37.67°, I = 75.5

***

Computed powder X-ray diffraction pattern
Compound: BaAl4O7
Radiation: a wavelength of 1.5418 Å
Structure: a GGA-PBE-relaxed structure
No peak broadening, texture or thermal motion is included.

Structural model:
```
BaAl4O7
1.0
10.413 0.000 0.000
0.000 13.147 0.000
0.000 0.000 4.980
Ba Al O
4 16 28
direct
0.177 0.250 0.207
0.323 0.750 0.707
0.677 0.250 0.293
0.823 0.750 0.793
0.091 0.631 0.286
0.091 0.869 0.286
0.159 0.002 0.795
0.159 0.498 0.795
0.341 0.502 0.295
0.341 0.998 0.295
0.409 0.131 0.786
0.409 0.369 0.786
0.591 0.631 0.214
0.591 0.869 0.214
0.659 0.002 0.705
0.659 0.498 0.705
0.841 0.502 0.205
0.841 0.998 0.205
0.909 0.131 0.714
0.909 0.369 0.714
0.069 0.114 0.811
0.069 0.386 0.811
0.114 0.611 0.635
0.114 0.889 0.635
0.159 0.750 0.210
0.194 0.536 0.133
0.194 0.964 0.133
0.306 0.036 0.633
0.306 0.464 0.633
0.341 0.250 0.710
0.386 0.111 0.135
0.386 0.389 0.135
0.431 0.614 0.311
0.431 0.886 0.311
0.569 0.114 0.689
0.569 0.386 0.689
0.614 0.611 0.865
0.614 0.889 0.865
0.659 0.750 0.290
0.694 0.536 0.367
0.694 0.964 0.367
0.806 0.036 0.867
0.806 0.464 0.867
0.841 0.250 0.790
0.886 0.111 0.365
0.886 0.389 0.365
0.931 0.614 0.189
0.931 0.886 0.189
```

Main lines, by angle (10 to 80 degrees two-theta):
17.03°, I = 24.1
25.66°, I = 42.1
26.59°, I = 43.9
27.11°, I = 70.1
28.27°, I = 100.0
32.20°, I = 50.8
36.07°, I = 32.2
38.71°, I = 20.0
41.48°, I = 27.6
56.60°, I = 22.0